This entry pairs a crystal structure of Na2HgTe2H2 with its theoretical powder XRD pattern. Radiation: CuKα. Structure: a cell relaxed with PBE.

Structure:
abc: 4.489 4.699 9.963
angles: 103.04 100.95 90.08
Positions (direct):
Na1 0.046 0.181 0.350
Na2 0.954 0.819 0.650
Hg1 0.000 0.000 0.000
Te1 0.461 0.329 0.670
Te2 0.539 0.671 0.330
H1 0.354 0.405 0.827
H2 0.646 0.595 0.173

Peak list (12 most intense, 2θ = 10–90°, in order of rising 2θ)
| two_theta | I (rel.) | (hkl) |
| --- | --- | --- |
| 20.5 | 35 | 1 0 -1 |
| 23.4 | 70 | 0 1 1 |
| 23.7 | 68 | 0 1 -2 |
| 23.9 | 45 | 1 0 1 |
| 24.7 | 47 | 1 0 -2 |
| 27.5 | 100 | 1 1 -1 |
| 28.1 | 67 | 0 0 3 |
| 28.8 | 41 | 1 -1 1 |
| 38.3 | 31 | 0 2 -1 |
| 39.3 | 23 | 1 -1 3 |
| 41.0 | 21 | 2 0 0 |
| 45.3 | 26 | 2 0 -3 |


This entry pairs a crystal structure of NdHgH4Pd6 with its theoretical powder XRD pattern. Radiation: CuKα. Structure: a cell relaxed with PBE.

Structure:
abc: 5.611 5.611 6.060
angles: 90.00 90.00 120.00
Positions (direct):
Nd1 0.000 0.000 0.000
Hg1 0.000 0.000 0.500
H1 0.333 0.667 0.158
H2 0.333 0.667 0.842
H3 0.667 0.333 0.158
H4 0.667 0.333 0.842
Pd1 0.000 0.500 0.268
Pd2 0.000 0.500 0.732
Pd3 0.500 0.000 0.268
Pd4 0.500 0.000 0.732
Pd5 0.500 0.500 0.268
Pd6 0.500 0.500 0.732

Peak list (12 most intense, 2θ = 10–90°, in order of rising 2θ)
| two_theta | I (rel.) | (hkl) |
| --- | --- | --- |
| 18.3 | 8 | 1 0 0 |
| 34.9 | 74 | 1 0 2 |
| 37.0 | 100 | 2 0 0 |
| 44.0 | 38 | 1 1 2 |
| 48.0 | 8 | 2 0 2 |
| 58.8 | 33 | 2 1 2 |
| 61.2 | 7 | 0 0 4 |
| 65.3 | 12 | 3 0 2 |
| 66.7 | 18 | 2 2 0 |
| 73.7 | 23 | 2 0 4 |
| 77.5 | 15 | 3 1 2 |
| 78.8 | 11 | 4 0 0 |


This entry pairs a crystal structure of NiHgH with its theoretical powder XRD pattern. Radiation: CuKα. Structure: a cell relaxed with PBE.

Structure:
abc: 2.800 6.895 4.260
angles: 90.00 90.00 90.00
Positions (direct):
Ni1 0.000 0.007 0.000
Ni2 0.500 0.993 0.500
Hg1 0.000 0.653 0.644
Hg2 0.500 0.347 0.144
H1 0.000 0.094 0.641
H2 0.500 0.906 0.141

Peak list (12 most intense, 2θ = 10–90°, in order of rising 2θ)
| two_theta | I (rel.) | (hkl) |
| --- | --- | --- |
| 24.6 | 100 | 0 1 1 |
| 33.4 | 59 | 0 2 1 |
| 34.6 | 40 | 1 1 0 |
| 38.5 | 34 | 1 0 1 |
| 39.2 | 37 | 0 3 0 |
| 40.7 | 52 | 1 1 1 |
| 41.6 | 36 | 1 2 0 |
| 46.9 | 19 | 1 2 1 |
| 55.9 | 22 | 1 1 2 |
| 56.1 | 21 | 1 3 1 |
| 60.9 | 22 | 1 2 2 |
| 67.5 | 17 | 1 4 1 |


This entry pairs a crystal structure of NiHgH with its theoretical powder XRD pattern. Radiation: CuKα. Structure: a cell relaxed with PBE.

Structure:
abc: 2.978 2.978 4.593
angles: 90.00 90.00 120.00
Positions (direct):
Ni1 0.000 0.000 0.000
Hg1 0.333 0.667 0.500
H1 0.667 0.333 0.000

Peak list (12 most intense, 2θ = 10–90°, in order of rising 2θ)
| two_theta | I (rel.) | (hkl) |
| --- | --- | --- |
| 19.3 | 30 | 0 0 1 |
| 34.8 | 39 | 1 0 0 |
| 39.2 | 22 | 0 0 2 |
| 40.1 | 100 | 1 0 1 |
| 53.4 | 24 | 1 0 2 |
| 62.4 | 17 | 1 1 0 |
| 65.9 | 8 | 1 1 1 |
| 71.7 | 18 | 1 0 3 |
| 73.4 | 5 | 2 0 0 |
| 76.2 | 19 | 1 1 2 |
| 76.8 | 15 | 2 0 1 |
| 86.6 | 7 | 2 0 2 |